1.
Diffraction record for Tb2Hg5. The PXRD pattern is computed, not measured: it uses the PBE geometry in Alexandria and Cu Kα, 1.54184 Å.
Kinematic intensities with the Lorentz-polarization factor, no thermal factor.

The 8 most intense peaks (15 to 90 degrees two-theta), sorted by position:
d 2.726, 2θ 32.9, I = 49.8; d 2.670, 2θ 33.6, I = 58.3; d 2.593, 2θ 34.6, I = 100.0; d 2.532, 2θ 35.5, I = 92.9; d 1.907, 2θ 47.7, I = 35.8; d 1.526, 2θ 60.7, I = 20.2; d 1.514, 2θ 61.2, I = 22.2; d 1.451, 2θ 64.2, I = 15.4

Crystal structure
```
Tb2Hg5
1.0
4.478 -2.670 0.000
4.478 2.670 0.000
-3.827 0.000 7.370
Tb Hg
2 5
Cartesian
1.477 0.000 1.302
3.651 0.000 6.068
-2.255 0.000 5.462
0.848 0.000 4.366
4.478 0.000 0.000
4.281 0.000 3.004
7.384 0.000 1.908
```

***

2.
Diffraction record for Tb3Hg5. The PXRD pattern is computed, not measured: it uses the PBE geometry in Alexandria and Cu Kα, 1.54184 Å.
Kinematic intensities with the Lorentz-polarization factor, no thermal factor.

The 8 most intense peaks (15 to 90 degrees two-theta), sorted by position:
d 2.650, 2θ 33.8, I = 8.4; d 2.641, 2θ 33.9, I = 100.0; d 2.557, 2θ 35.1, I = 27.7; d 2.535, 2θ 35.4, I = 20.8; d 2.293, 2θ 39.3, I = 11.2; d 1.943, 2θ 46.8, I = 8.7; d 1.800, 2θ 50.7, I = 13.3; d 1.492, 2θ 62.2, I = 15.1

Crystal structure
```
Tb3Hg5
1.0
5.070 -3.887 0.000
5.070 3.887 0.000
0.000 0.000 10.226
Tb Hg
6 10
Cartesian
5.070 3.397 7.670
2.923 0.000 0.000
2.923 0.000 5.113
7.216 0.000 0.000
7.216 0.000 5.113
5.070 -3.397 2.557
2.851 1.978 2.557
5.070 2.275 0.277
5.070 2.275 4.836
7.288 1.978 2.557
5.070 0.271 7.670
5.070 -0.271 2.557
2.851 -1.978 7.670
5.070 -2.275 5.390
5.070 -2.275 9.950
7.288 -1.978 7.670
```

***

3.
Diffraction record for Tb3Hg4. The PXRD pattern is computed, not measured: it uses the PBE geometry in Alexandria and Cu Kα, 1.54184 Å.
Kinematic intensities with the Lorentz-polarization factor, no thermal factor.

The 8 most intense peaks (15 to 90 degrees two-theta), sorted by position:
d 3.707, 2θ 24.0, I = 13.4; d 2.872, 2θ 31.1, I = 100.0; d 2.427, 2θ 37.0, I = 94.1; d 1.854, 2θ 49.1, I = 24.4; d 1.781, 2θ 51.3, I = 15.6; d 1.473, 2θ 63.1, I = 29.5; d 1.436, 2θ 64.9, I = 12.0; d 1.401, 2θ 66.8, I = 17.6

Crystal structure
```
Tb3Hg4
1.0
-4.541 4.541 4.541
4.541 -4.541 4.541
4.541 4.541 -4.541
Tb Hg
6 8
Cartesian
6.811 1.135 0.000
3.406 0.000 2.270
2.270 3.406 0.000
0.000 2.270 3.406
1.135 0.000 6.811
0.000 6.811 1.135
3.783 0.758 -0.758
6.053 -1.512 1.512
0.758 0.758 0.758
0.758 -0.758 3.783
-0.758 3.783 0.758
1.512 6.053 -1.512
3.029 3.029 3.029
-1.512 1.512 6.053
```

***

4.
Diffraction record for Tb5Hg3. The PXRD pattern is computed, not measured: it uses the PBE geometry in Alexandria and Cu Kα, 1.54184 Å.
Kinematic intensities with the Lorentz-polarization factor, no thermal factor.

The 8 most intense peaks (15 to 90 degrees two-theta), sorted by position:
d 2.962, 2θ 30.2, I = 8.9; d 2.807, 2θ 31.9, I = 100.0; d 2.650, 2θ 33.8, I = 56.7; d 2.532, 2θ 35.4, I = 12.0; d 2.037, 2θ 44.5, I = 12.4; d 1.874, 2θ 48.6, I = 8.5; d 1.832, 2θ 49.8, I = 8.7; d 1.460, 2θ 63.7, I = 23.3

Crystal structure
```
Tb5Hg3
1.0
-4.190 4.190 6.357
4.190 -4.190 6.357
4.190 4.190 -6.357
Tb Hg
10 6
Cartesian
0.000 0.000 0.000
5.475 1.286 -1.919
1.286 2.904 -1.919
5.475 1.286 1.919
1.286 2.904 1.919
0.000 0.000 6.357
2.904 1.286 4.439
-1.286 2.904 4.439
2.904 1.286 8.276
-1.286 2.904 8.276
3.013 1.177 0.000
0.000 0.000 3.179
3.013 -1.177 6.357
1.177 5.366 0.000
0.000 0.000 9.536
1.177 3.013 6.357
```

***

5.
Diffraction record for Tb5Hg2Te2. The PXRD pattern is computed, not measured: it uses the PBE geometry in Alexandria and Cu Kα, 1.54184 Å.
Kinematic intensities with the Lorentz-polarization factor, no thermal factor.

The 8 most intense peaks (15 to 90 degrees two-theta), sorted by position:
d 3.292, 2θ 27.1, I = 30.3; d 2.964, 2θ 30.1, I = 100.0; d 2.863, 2θ 31.2, I = 29.4; d 2.656, 2θ 33.7, I = 89.0; d 2.537, 2θ 35.4, I = 64.4; d 2.517, 2θ 35.7, I = 57.6; d 2.359, 2θ 38.2, I = 36.3; d 1.449, 2θ 64.3, I = 32.4

Crystal structure
```
Tb5Hg2Te2
1.0
7.788 -4.070 0.000
7.788 4.070 0.000
0.000 0.000 8.057
Tb Hg Te
10 4 4
Cartesian
0.000 0.000 0.000
5.735 2.713 5.333
5.735 1.356 1.305
9.840 2.713 5.333
9.840 1.356 1.305
7.788 0.000 4.029
5.735 -1.356 6.753
5.735 -2.713 2.724
9.840 -1.356 6.753
9.840 -2.713 2.724
7.788 2.975 2.977
7.788 1.094 7.006
7.788 -1.094 1.051
7.788 -2.975 5.080
3.159 0.000 0.000
4.629 0.000 4.029
10.947 0.000 4.029
12.417 0.000 0.000
```

***

6.
Diffraction record for TbHgTe. The PXRD pattern is computed, not measured: it uses the PBE geometry in Alexandria and Cu Kα, 1.54184 Å.
Kinematic intensities with the Lorentz-polarization factor, no thermal factor.

The 8 most intense peaks (15 to 90 degrees two-theta), sorted by position:
d 4.097, 2θ 21.7, I = 15.4; d 3.564, 2θ 25.0, I = 16.2; d 2.759, 2θ 32.5, I = 100.0; d 2.503, 2θ 35.9, I = 94.4; d 1.861, 2θ 48.9, I = 19.1; d 1.854, 2θ 49.1, I = 31.5; d 1.490, 2θ 62.3, I = 30.9; d 1.445, 2θ 64.5, I = 17.3

Crystal structure
```
TbHgTe
1.0
2.503 1.445 8.345
-2.503 1.445 8.345
0.000 -2.891 8.345
Tb Hg Te
2 2 2
Cartesian
0.000 0.000 1.967
0.000 0.000 23.068
0.000 0.000 8.577
0.000 0.000 16.458
0.000 0.000 5.320
0.000 0.000 19.715
```

***

7.
Diffraction record for TbThHg. The PXRD pattern is computed, not measured: it uses the PBE geometry in Alexandria and Cu Kα, 1.54184 Å.
Kinematic intensities with the Lorentz-polarization factor, no thermal factor.

The 8 most intense peaks (15 to 90 degrees two-theta), sorted by position:
d 2.937, 2θ 30.4, I = 20.9; d 2.742, 2θ 32.7, I = 30.7; d 2.671, 2θ 33.6, I = 100.0; d 2.589, 2θ 34.6, I = 17.3; d 2.004, 2θ 45.2, I = 14.3; d 1.569, 2θ 58.9, I = 20.5; d 1.500, 2θ 61.9, I = 10.1; d 1.144, 2θ 84.7, I = 11.5

Crystal structure
```
TbThHg
1.0
1.791 -8.810 0.000
1.791 8.810 0.000
0.000 0.000 5.485
Tb Th Hg
2 2 2
Cartesian
1.791 7.287 4.113
1.791 -7.287 1.371
1.791 4.834 1.371
1.791 -4.834 4.113
1.791 1.113 4.113
1.791 -1.113 1.371
```

***

8.
Diffraction record for TbTh2Hg5. The PXRD pattern is computed, not measured: it uses the PBE geometry in Alexandria and Cu Kα, 1.54184 Å.
Kinematic intensities with the Lorentz-polarization factor, no thermal factor.

The 8 most intense peaks (15 to 90 degrees two-theta), sorted by position:
d 2.662, 2θ 33.7, I = 100.0; d 2.579, 2θ 34.8, I = 47.4; d 1.947, 2θ 46.6, I = 8.7; d 1.824, 2θ 50.0, I = 17.3; d 1.554, 2θ 59.5, I = 17.0; d 1.504, 2θ 61.6, I = 35.8; d 1.331, 2θ 70.8, I = 10.2; d 1.161, 2θ 83.3, I = 8.2

Crystal structure
```
TbTh2Hg5
1.0
-2.579 2.579 7.788
2.579 -2.579 7.788
2.579 2.579 -7.788
Tb Th Hg
1 2 5
Cartesian
0.000 0.000 0.000
0.000 0.000 4.075
0.000 0.000 11.501
2.579 0.000 1.811
2.579 0.000 5.977
0.000 0.000 7.788
0.000 2.579 1.811
0.000 2.579 5.977
```